No. 1
Structure and simulated X-ray powder pattern of Li3CrP2O8 (a PBE+U-relaxed structure; Cu Ka).
Lines closer than 0.1° are merged.

Structural model:
```
data_Li3CrP2O8
_space_group_name_H-M_alt 'R 3'
_space_group_IT_number 146
_space_group_name_Hall 'R 3'
_cell_length_a 8.8847
_cell_length_b 8.8847
_cell_length_c 20.0367
_cell_angle_alpha 90.00
_cell_angle_beta 90.00
_cell_angle_gamma 120.00
loop_
_atom_site_label
_atom_site_fract_x
_atom_site_fract_y
_atom_site_fract_z
_atom_site_occupancy
Li1 0.0000 0.0000 0.0000 1
Li2 0.0000 0.0000 0.1428 1
Li3 0.0000 0.0000 0.4881 1
Li4 0.0471 0.6154 0.7484 1
Li5 0.0709 0.3388 0.5729 1
Cr1 0.0000 0.0000 0.3472 1
Cr2 0.0000 0.0000 0.6324 1
Cr3 0.0000 0.0000 0.8478 1
P1 0.0350 0.6683 0.9054 1
P2 0.0386 0.3689 0.4055 1
O1 0.0007 0.8241 0.5688 1
O2 0.0046 0.7923 0.1748 1
O3 0.0081 0.1795 0.4125 1
O4 0.0098 0.8314 0.9134 1
O5 0.1365 0.6743 0.9685 1
O6 0.1375 0.4609 0.4703 1
O7 0.1432 0.4628 0.3426 1
O8 0.1622 0.4728 0.7313 1
```

The 10 most intense peaks (10° ≤ 2θ ≤ 90°), most intense first:
Position (°2θ), I/Imax
24.1, 100
21.2, 33
33.6, 24
31.1, 23
35.0, 18
29.3, 15
14.5, 13
47.9, 12
54.7, 11
49.3, 11

No. 2
Structure and simulated X-ray powder pattern of Li2CrP2O8 (a PBE+U-relaxed structure; Cu Ka).
Lines closer than 0.1° are merged.

Structural model:
```
data_Li2CrP2O8
_space_group_name_H-M_alt 'P 1 21/c 1'
_space_group_IT_number 14
_space_group_name_Hall '-P 2ybc'
_cell_length_a 7.4662
_cell_length_b 12.4550
_cell_length_c 6.2532
_cell_angle_alpha 90.00
_cell_angle_beta 97.85
_cell_angle_gamma 90.00
loop_
_atom_site_label
_atom_site_fract_x
_atom_site_fract_y
_atom_site_fract_z
_atom_site_occupancy
Li1 0.0429 0.1237 0.4465 1
Li2 0.4422 0.2247 0.3661 1
Cr1 0.2711 0.5764 0.7444 1
P1 0.1370 0.1422 0.9619 1
P2 0.3300 0.5295 0.2598 1
O1 0.0341 0.6465 0.7076 1
O2 0.1203 0.0711 0.1578 1
O3 0.2027 0.5464 0.0459 1
O4 0.2128 0.2463 0.5112 1
O5 0.2842 0.6063 0.4334 1
O6 0.2933 0.0903 0.8343 1
O7 0.4102 0.6833 0.8294 1
O8 0.4704 0.0347 0.2725 1
```

The 10 most intense peaks (10° ≤ 2θ ≤ 90°), most intense first:
Position (°2θ), I/Imax
14.2, 100
24.6, 62
20.2, 47
24.1, 44
30.6, 37
32.3, 34
25.1, 31
33.1, 28
16.0, 27
42.7, 22